# 1
Simulated X-ray diffraction stick pattern
Compound: Nb3SnH2
Radiation: Cu Kα, 1.54184 Å
Structure: a crystal structure in the Materials Project, relaxed with PBE
Intensities are scaled so that the largest is 100.

Most intense lines, 2θ from 10° to 90°, most intense first:
36.80°, I 100; 40.44°, I 84; 32.81°, I 55; 63.74°, I 43; 40.53°, I 40; 61.18°, I 22; 63.89°, I 22; 36.88°, I 20; 80.58°, I 16; 68.82°, I 15

Crystal structure
Cell: 5.465 7.731 7.704 Å, 90.00 90.00 90.00°
Space group Ama2 (No. 40)
Unique sites:
Nb: 0.000 0.000 0.000
Nb: 0.250 0.124 0.363
Nb: 0.250 0.371 0.117
Sn: 0.250 0.251 0.744
H: 0.000 0.000 0.493
H: 0.250 0.376 0.370

***

# 2
Simulated X-ray diffraction stick pattern
Compound: NbVH4
Radiation: Cu Kα, 1.54184 Å
Structure: a crystal structure in the Materials Project, relaxed with PBE
Intensities are scaled so that the largest is 100.

Most intense lines, 2θ from 10° to 90°, most intense first:
35.25°, I 100; 40.93°, I 45; 70.87°, I 35; 59.27°, I 32; 74.54°, I 10; 20.14°, I 9; 28.63°, I 8; 88.74°, I 5; 46.02°, I 5; 50.71°, I 4

Crystal structure
Cell: 3.118 3.118 4.410 Å, 90.00 90.00 90.00°
Space group P4/mmm (No. 123)
Unique sites:
Nb: 0.000 0.000 0.000
V: 0.500 0.500 0.500
H: 0.000 0.500 0.273

***

# 3
Simulated X-ray diffraction stick pattern
Compound: NdH2
Radiation: Cu Kα, 1.54184 Å
Structure: a crystal structure in the Materials Project, relaxed with PBE
Intensities are scaled so that the largest is 100.

Most intense lines, 2θ from 10° to 90°, most intense first:
28.11°, I 100; 32.57°, I 49; 55.43°, I 45; 46.73°, I 39; 75.36°, I 18; 77.67°, I 16; 86.78°, I 13; 58.12°, I 13; 68.23°, I 6

Crystal structure
Cell: 5.498 5.498 5.498 Å, 90.00 90.00 90.00°
Space group Fm-3m (No. 225)
Unique sites:
Nd: 0.000 0.000 0.000
H: 0.250 0.250 0.250

***

# 4
Simulated X-ray diffraction stick pattern
Compound: NdH3
Radiation: Cu Kα, 1.54184 Å
Structure: a crystal structure in the Materials Project, relaxed with PBE
Intensities are scaled so that the largest is 100.

Most intense lines, 2θ from 10° to 90°, most intense first:
29.76°, I 100; 25.77°, I 33; 47.99°, I 28; 54.58°, I 25; 26.74°, I 22; 47.23°, I 20; 37.48°, I 18; 56.82°, I 16; 76.92°, I 13; 73.67°, I 10

Crystal structure
Cell: 6.6666 6.6666 6.9138 Å, 90.00 90.00 120.00°
Space group P-3c1 (No. 165)
Unique sites:
Nd: 0.0000 0.3362 0.2500
H: 0.0000 0.0000 0.2500
H: 0.0250 0.3470 0.9057
H: 0.3333 0.6667 0.1798

***

# 5
Simulated X-ray diffraction stick pattern
Compound: NdNiSnH2
Radiation: Cu Kα, 1.54184 Å
Structure: a crystal structure in the Materials Project, relaxed with PBE
Intensities are scaled so that the largest is 100.

Most intense lines, 2θ from 10° to 90°, most intense first:
31.56°, I 100; 41.07°, I 49; 60.63°, I 30; 52.70°, I 24; 68.90°, I 21; 42.56°, I 14; 71.02°, I 10; 74.83°, I 9; 25.64°, I 6; 89.11°, I 6

Crystal structure
Cell: 4.3956 4.3956 8.4965 Å, 90.00 90.00 120.00°
Space group P6_3/mmc (No. 194)
Unique sites:
Nd: 0.0000 0.0000 0.0000
Ni: 0.3333 0.6667 0.2500
Sn: 0.3333 0.6667 0.7500
H: 0.3333 0.6667 0.0619

***

# 6
Simulated X-ray diffraction stick pattern
Compound: NdNiSnH
Radiation: Cu Kα, 1.54184 Å
Structure: a crystal structure in the Materials Project, relaxed with PBE
Intensities are scaled so that the largest is 100.

Most intense lines, 2θ from 10° to 90°, most intense first:
33.80°, I 100; 31.87°, I 85; 37.90°, I 60; 41.17°, I 45; 62.02°, I 39; 32.53°, I 37; 38.78°, I 35; 34.08°, I 29; 57.84°, I 22; 32.05°, I 20

Crystal structure
Cell: 7.244 4.385 8.469 Å, 90.00 90.00 90.00°
Space group Pnma (No. 62)
Unique sites:
Nd: 0.013 0.250 0.189
Ni: 0.221 0.750 0.401
Sn: 0.158 0.250 0.569
H: 0.059 0.250 0.919